1.
K2Na2La2MgNb2O10: theoretical X-ray powder pattern (Cu Kα (weighted mean of Kα1 and Kα2)), based on the PBE geometry in the Materials Project.

Crystal structure
Unit cell a=5.716 b=5.716 c=9.404 alpha=90.00 beta=90.00 gamma=90.00
Sites, in units of the cell vectors:
K 0.000 0.500 0.000
K 0.500 0.000 0.000
Na 0.000 0.000 0.178
Na 0.500 0.500 0.792
La 0.000 0.500 0.422
La 0.500 0.000 0.422
Mg 0.500 0.500 0.545
Nb 0.000 0.000 0.672
Nb 0.500 0.500 0.222
O 0.000 0.000 0.872
O 0.238 0.238 0.605
O 0.238 0.762 0.605
O 0.258 0.258 0.262
O 0.258 0.742 0.262
O 0.500 0.500 0.013
O 0.742 0.258 0.262
O 0.742 0.742 0.262
O 0.762 0.238 0.605
O 0.762 0.762 0.605

Main lines, low angle first (2θ from 10° to 90°):
(1 0 1), 4.885 Å, 18.16 deg, I = 29; (1 1 1), 3.713 Å, 23.96 deg, I = 26; (1 1 2), 3.065 Å, 29.13 deg, I = 100; (2 0 0), 2.858 Å, 31.30 deg, I = 43; (1 1 3), 2.477 Å, 36.27 deg, I = 28; (2 0 3), 2.112 Å, 42.82 deg, I = 12; (2 2 0), 2.021 Å, 44.85 deg, I = 34; (2 0 4), 1.816 Å, 50.25 deg, I = 15; (3 1 2), 1.687 Å, 54.38 deg, I = 34; (3 1 3), 1.566 Å, 58.98 deg, I = 14

=====

2.
K2Na2La2MgNb2O10: theoretical X-ray powder pattern (Cu Kα (weighted mean of Kα1 and Kα2)), based on the PBE geometry in the Materials Project.

Crystal structure
Unit cell a=5.989 b=5.846 c=8.827 alpha=90.00 beta=97.00 gamma=90.00
Sites, in units of the cell vectors:
K 0.000 0.000 0.000
K 0.386 0.500 0.074
Na 0.295 0.000 0.369
Na 0.908 0.500 0.849
La 0.371 0.500 0.603
La 0.912 0.000 0.605
Mg 0.665 0.000 0.237
Nb 0.443 0.000 0.818
Nb 0.862 0.500 0.338
O 0.079 0.279 0.450
O 0.079 0.721 0.450
O 0.192 0.240 0.783
O 0.192 0.760 0.783
O 0.453 0.000 0.046
O 0.623 0.265 0.376
O 0.623 0.735 0.376
O 0.649 0.230 0.748
O 0.649 0.770 0.748
O 0.897 0.500 0.130

Main lines, low angle first (2θ from 10° to 90°):
(0 0 1), 8.761 Å, 10.10 deg, I = 100; (0 1 1), 4.863 Å, 18.24 deg, I = 31; (1 1 1), 3.645 Å, 24.42 deg, I = 35; (1 1 -2), 3.157 Å, 28.27 deg, I = 82; (2 0 0), 2.972 Å, 30.07 deg, I = 26; (0 2 0), 2.923 Å, 30.58 deg, I = 57; (1 1 2), 2.898 Å, 30.85 deg, I = 100; (1 1 -3), 2.494 Å, 36.01 deg, I = 33; (2 2 0), 2.084 Å, 43.42 deg, I = 45; (2 2 -1), 2.067 Å, 43.79 deg, I = 36

=====

3.
KLaMg14O16: theoretical X-ray powder pattern (Cu Kα (weighted mean of Kα1 and Kα2)), based on the PBE geometry in the Materials Project.

Crystal structure
Unit cell a=8.797 b=8.797 c=4.510 alpha=90.00 beta=90.00 gamma=90.00
Sites, in units of the cell vectors:
K 0.000 0.000 0.000
La 0.500 0.500 0.000
Mg 0.000 0.248 0.500
Mg 0.000 0.500 0.000
Mg 0.000 0.752 0.500
Mg 0.231 0.500 0.500
Mg 0.240 0.240 0.000
Mg 0.240 0.760 0.000
Mg 0.248 0.000 0.500
Mg 0.500 0.000 0.000
Mg 0.500 0.231 0.500
Mg 0.500 0.769 0.500
Mg 0.752 0.000 0.500
Mg 0.760 0.240 0.000
Mg 0.760 0.760 0.000
Mg 0.769 0.500 0.500
O 0.000 0.000 0.500
O 0.000 0.273 0.000
O 0.000 0.500 0.500
O 0.000 0.727 0.000
O 0.235 0.500 0.000
O 0.252 0.252 0.500
O 0.252 0.748 0.500
O 0.273 0.000 0.000
O 0.500 0.000 0.500
O 0.500 0.235 0.000
O 0.500 0.500 0.500
O 0.500 0.765 0.000
O 0.727 0.000 0.000
O 0.748 0.252 0.500
O 0.748 0.748 0.500
O 0.765 0.500 0.000

Main lines, low angle first (2θ from 10° to 90°):
(1 0 0), 8.797 Å, 10.06 deg, I = 32; (1 1 0), 6.220 Å, 14.24 deg, I = 22; (1 1 1), 3.651 Å, 24.38 deg, I = 19; (2 1 1), 2.965 Å, 30.15 deg, I = 18; (2 2 1), 2.560 Å, 35.05 deg, I = 38; (0 0 2), 2.255 Å, 39.99 deg, I = 57; (4 0 0), 2.199 Å, 41.04 deg, I = 100; (4 0 2), 1.574 Å, 58.64 deg, I = 61; (4 4 0), 1.555 Å, 59.44 deg, I = 28; (4 4 2), 1.280 Å, 74.06 deg, I = 27

=====

4.
KLaMg14O16: theoretical X-ray powder pattern (Cu Kα (weighted mean of Kα1 and Kα2)), based on the PBE geometry in the Materials Project.

Crystal structure
Unit cell a=4.486 b=8.749 c=8.983 alpha=90.00 beta=90.00 gamma=90.00
Sites, in units of the cell vectors:
K 0.000 0.000 0.000
La 0.000 0.000 0.500
Mg 0.000 0.261 0.239
Mg 0.000 0.261 0.761
Mg 0.000 0.500 0.000
Mg 0.000 0.500 0.500
Mg 0.000 0.739 0.239
Mg 0.000 0.739 0.761
Mg 0.500 0.000 0.230
Mg 0.500 0.000 0.770
Mg 0.500 0.255 0.000
Mg 0.500 0.267 0.500
Mg 0.500 0.500 0.246
Mg 0.500 0.500 0.754
Mg 0.500 0.733 0.500
Mg 0.500 0.745 0.000
O 0.000 0.000 0.253
O 0.000 0.000 0.747
O 0.000 0.272 0.500
O 0.000 0.277 0.000
O 0.000 0.500 0.252
O 0.000 0.500 0.748
O 0.000 0.723 0.000
O 0.000 0.728 0.500
O 0.500 0.000 0.000
O 0.500 0.000 0.500
O 0.500 0.251 0.250
O 0.500 0.251 0.750
O 0.500 0.500 0.000
O 0.500 0.500 0.500
O 0.500 0.749 0.250
O 0.500 0.749 0.750

Main lines, low angle first (2θ from 10° to 90°):
(0 1 0), 8.749 Å, 10.11 deg, I = 21; (0 1 1), 6.267 Å, 14.13 deg, I = 16; (0 0 2), 4.489 Å, 19.78 deg, I = 16; (0 1 2), 3.994 Å, 22.26 deg, I = 20; (1 2 2), 2.569 Å, 34.92 deg, I = 35; (2 0 0), 2.244 Å, 40.18 deg, I = 100; (0 4 0), 2.187 Å, 41.28 deg, I = 44; (2 0 4), 1.587 Å, 58.12 deg, I = 29; (2 4 0), 1.566 Å, 58.96 deg, I = 53; (2 4 4), 1.285 Å, 73.76 deg, I = 25